For Ce6Sn2Hg, a structure optimized by DFT (PBE) gives the theoretical powder diffractogram in this record (λ = 1.5418 Å (Cu Kα)).

Top 10 peaks for 2θ = 10–90°, by angle:
34.28°, rel. 100
34.53°, rel. 89
44.92°, rel. 9
49.45°, rel. 33
61.38°, rel. 19
61.54°, rel. 34
69.31°, rel. 26
72.22°, rel. 12
82.58°, rel. 15
89.66°, rel. 14

Cell and atoms:
```
Ce6Sn2Hg
1.0
9.0627 0.0000 0.0000
-4.5314 7.8486 0.0000
0.0000 0.0000 3.1701
Ce Sn Hg
6 2 1
Direct
0.0000 0.3303 0.0000 Ce
0.0000 0.6697 0.0000 Ce
0.3303 0.0000 0.0000 Ce
0.3303 0.3303 0.0000 Ce
0.6697 0.0000 0.0000 Ce
0.6697 0.6697 0.0000 Ce
0.3333 0.6667 0.5000 Sn
0.6667 0.3333 0.5000 Sn
0.0000 0.0000 0.5000 Hg
```



For KCrP2S8, a structure optimized by DFT (PBE) gives the theoretical powder diffractogram in this record (λ = 1.5418 Å (Cu Kα)).

Top 10 peaks for 2θ = 10–90°, by angle:
19.81°, rel. 100
25.53°, rel. 85
27.81°, rel. 35
30.57°, rel. 32
31.98°, rel. 93
35.93°, rel. 95
41.55°, rel. 33
49.03°, rel. 30
54.33°, rel. 62
57.30°, rel. 34

Cell and atoms:
```
KCrP2S8
1.0
5.8496 0.0000 0.0000
-2.9248 5.0659 0.0000
0.0000 0.0000 9.6233
K Cr P S
1 1 2 8
Direct
0.0000 0.0000 0.0000 K
0.0000 0.0000 0.5000 Cr
0.3333 0.6667 0.7023 P
0.6667 0.3333 0.2977 P
0.0094 0.6719 0.3646 S
0.3281 0.3376 0.3646 S
0.3333 0.6667 0.9090 S
0.3376 0.0094 0.6354 S
0.6624 0.9906 0.3646 S
0.6667 0.3333 0.0910 S
0.6719 0.6624 0.6354 S
0.9906 0.3281 0.6354 S
```



For Pu3S3O, a structure optimized by DFT (PBE) gives the theoretical powder diffractogram in this record (λ = 1.5418 Å (Cu Kα)).

Top 10 peaks for 2θ = 10–90°, by angle:
25.25°, rel. 13
26.26°, rel. 30
28.11°, rel. 50
28.88°, rel. 100
36.10°, rel. 14
37.00°, rel. 14
37.38°, rel. 14
44.27°, rel. 14
44.92°, rel. 26
53.22°, rel. 22

Cell and atoms:
```
Pu3S3O
1.0
7.7941 0.0000 0.0000
0.0000 6.9578 0.0000
-1.7566 0.0000 10.7003
Pu S O
12 12 4
Direct
0.0722 0.0646 0.3592 Pu
0.0722 0.4354 0.8592 Pu
0.2523 0.6062 0.5070 Pu
0.2523 0.8938 0.0070 Pu
0.3932 0.0755 0.6616 Pu
0.3932 0.4245 0.1616 Pu
0.6068 0.5755 0.8384 Pu
0.6068 0.9245 0.3384 Pu
0.7477 0.1062 0.9930 Pu
0.7477 0.3938 0.4930 Pu
0.9278 0.5646 0.1408 Pu
0.9278 0.9354 0.6408 Pu
0.0950 0.1864 0.1161 S
0.0950 0.3136 0.6161 S
0.2725 0.7356 0.7744 S
0.2725 0.7644 0.2744 S
0.4058 0.2444 0.9168 S
0.4058 0.2556 0.4168 S
0.5942 0.7444 0.5832 S
0.5942 0.7556 0.0832 S
0.7275 0.2356 0.7256 S
0.7275 0.2644 0.2256 S
0.9050 0.6864 0.3839 S
0.9050 0.8136 0.8839 S
0.1781 0.5792 0.0391 O
0.1781 0.9208 0.5391 O
0.8219 0.0792 0.4609 O
0.8219 0.4208 0.9609 O
```



For BC5, a structure optimized by DFT (PBE) gives the theoretical powder diffractogram in this record (λ = 1.5418 Å (Cu Kα)).

Top 9 peaks for 2θ = 10–90°, by angle:
15.54°, rel. 10
31.38°, rel. 1
36.57°, rel. 1
43.12°, rel. 100
54.29°, rel. 1
72.82°, rel. 26
75.59°, rel. 12
85.88°, rel. 8
87.74°, rel. 1

Cell and atoms:
```
BC5
1.0
-1.2580 1.2580 5.7018
1.2580 -1.2580 5.7018
1.2580 1.2580 -5.7018
B C
1 5
Direct
0.0000 0.0000 0.0000 B
0.0937 0.5937 0.5000 C
0.3301 0.3301 0.0000 C
0.4063 0.9063 0.5000 C
0.6699 0.6699 0.0000 C
0.7500 0.2500 0.5000 C
```